Structure and simulated X-ray diffraction stick pattern of KVZnF6 (a PBE+U-relaxed structure; Cu Kα X-rays).

Structural model:
```
KVZnF6
1.0
-3.631 3.787 5.282
3.631 -3.787 5.282
3.631 3.787 -5.282
K V Zn F
2 2 2 12
Cartesian
0.000 1.894 0.998
3.631 1.894 4.283
3.631 0.000 0.000
0.000 0.000 5.282
1.815 1.894 -2.641
1.815 -1.894 2.641
2.216 -0.348 1.298
5.046 -0.348 1.298
3.631 -1.894 3.480
3.631 1.894 0.668
2.216 3.439 -1.298
1.415 -0.348 3.983
2.216 4.135 1.298
1.415 0.348 6.580
0.000 1.894 4.613
0.000 5.681 1.801
-1.415 4.135 3.983
1.415 4.135 3.983
```

Most intense lines, 10° ≤ 2θ ≤ 90°, in order of rising 2θ:
2theta, d [Å], I (rel.)
14.39, 6.155, 87
14.80, 5.984, 33
27.91, 3.197, 100
28.54, 3.127, 58
29.86, 2.992, 53
48.97, 1.860, 55